This entry pairs a crystal structure of XeF2 with its theoretical X-ray diffraction stick pattern. Radiation: Cu Kα X-rays. Structure: a PBE-relaxed structure.
Neutral-atom scattering factors, no anomalous dispersion.

Cell and atoms:
```
data_XeF2
_chemical_formula_sum 'Xe2 F4'
_symmetry_space_group_name_H-M 'I 4/m m m'
_symmetry_Int_Tables_number 139
_symmetry_space_group_name_Hall '-I 4 2'
_cell_length_a 4.4837
_cell_length_b 4.4837
_cell_length_c 7.2248
_cell_angle_alpha 90.00
_cell_angle_beta 90.00
_cell_angle_gamma 90.00
loop_
_atom_site_label
_atom_site_fract_x
_atom_site_fract_y
_atom_site_fract_z
_atom_site_occupancy
Xe1 0.0000 0.0000 0.0000 1
F1 0.0000 0.0000 0.2877 1
```

Most intense lines, 15 to 90 degrees two-theta, sorted by position:
hkl 1 0 1, 2θ 23.35, intensity 100; hkl 0 0 2, 2θ 24.64, intensity 13; hkl 1 1 0, 2θ 28.15, intensity 64; hkl 1 1 2, 2θ 37.75, intensity 17; hkl 2 0 0, 2θ 40.23, intensity 23; hkl 1 0 3, 2θ 42.61, intensity 33; hkl 2 1 1, 2θ 47.03, intensity 30; hkl 1 1 4, 2θ 58.84, intensity 12; hkl 2 1 3, 2θ 60.04, intensity 23; hkl 3 1 0, 2θ 65.87, intensity 10

=====

This entry pairs a crystal structure of Mg14NbCO16 with its theoretical X-ray diffraction stick pattern. Radiation: Cu Kα X-rays. Structure: a PBE-relaxed structure.
Neutral-atom scattering factors, no anomalous dispersion.

Cell and atoms:
```
data_Mg14NbCO16
_chemical_formula_sum 'Mg14 Nb1 C1 O16'
_symmetry_space_group_name_H-M 'P 4/m m m'
_symmetry_Int_Tables_number 123
_symmetry_space_group_name_Hall '-P 4 2'
_cell_length_a 8.5780
_cell_length_b 8.5780
_cell_length_c 4.3045
_cell_angle_alpha 90.00
_cell_angle_beta 90.00
_cell_angle_gamma 90.00
loop_
_atom_site_label
_atom_site_fract_x
_atom_site_fract_y
_atom_site_fract_z
_atom_site_occupancy
Mg1 0.0000 0.2415 0.0000 1
Mg2 0.0000 0.5000 0.5000 1
Mg3 0.2402 0.5000 0.0000 1
Mg4 0.2421 0.2421 0.5000 1
Nb1 0.5000 0.5000 0.5000 1
C1 0.0000 0.0000 0.5000 1
O1 0.0000 0.0000 0.0000 1
O2 0.0000 0.2579 0.5000 1
O3 0.0000 0.5000 0.0000 1
O4 0.2430 0.5000 0.5000 1
O5 0.2509 0.2509 0.0000 1
O6 0.5000 0.5000 0.0000 1
```

Most intense lines, 15 to 90 degrees two-theta, sorted by position:
hkl 1 0 1, 2θ 23.15, intensity 28; hkl 3 0 0, 2θ 31.24, intensity 23; hkl 2 2 1, 2θ 36.23, intensity 24; hkl 3 2 0, 2θ 37.79, intensity 8; hkl 0 0 2, 2θ 41.98, intensity 51; hkl 4 0 0, 2θ 42.14, intensity 100; hkl 4 0 2, 2θ 60.99, intensity 57; hkl 4 4 0, 2θ 61.11, intensity 28; hkl 6 2 1, 2θ 73.16, intensity 9; hkl 4 4 2, 2θ 76.91, intensity 26